Diffraction record for NaLaMn4O12. The XRD peak list is theoretical, not measured: it uses a DFT-relaxed cell (GGA+U, Alexandria) and copper Kα.

Cell lengths 7.575, 7.539, 7.571 Å; angles 90.00, 90.00, 90.00 degrees
Space group Amm2 (No. 38)
Symmetry-distinct sites (fractional):
Na 0.000 0.000 0.000 x2
La 0.500 0.000 0.509 x2
Mn 0.241 0.247 0.256 x8
O 0.000 0.205 0.243 x4
O 0.224 0.000 0.761 x4
O 0.257 0.234 0.505 x8
O 0.289 0.000 0.254 x4
O 0.500 0.226 0.759 x4

Peak list (10 most intense, 2θ = 10–90°, sorted by position)
- 11.68°, I 21.8
- 16.60°, I 25.2
- 20.34°, I 61.4
- 26.36°, I 18.5
- 33.52°, I 100.0
- 39.48°, I 22.6
- 48.06°, I 35.1
- 48.29°, I 16.4
- 59.88°, I 26.0
- 70.51°, I 17.1